Record 1
Theoretical powder diffraction line list
Compound: Ca5Fe4
Radiation: λ = 1.5418 Å (Cu Kα)
Structure: a cell relaxed with PBE
Lines closer than 0.1° are merged.

Structure:
```
data_Ca5Fe4
_chemical_formula_sum 'Ca10 Fe8'
_space_group_name_H-M_alt 'I 4/m m m'
_space_group_IT_number 139
_space_group_name_Hall '-I 4 2'
_cell_length_a 9.5826
_cell_length_b 9.5826
_cell_length_c 4.5783
_cell_angle_alpha 90.00
_cell_angle_beta 90.00
_cell_angle_gamma 90.00
loop_
_atom_site_label
_atom_site_type_symbol
_atom_site_fract_x
_atom_site_fract_y
_atom_site_fract_z
Ca1 Ca 0.0000 0.0000 0.0000
Ca2 Ca 0.1781 0.1781 0.5000
Fe1 Fe 0.0000 0.3836 0.0000
```

Top 8 peaks for 2θ from 10° to 80°, low angle first:
Position (°2θ)  Rel. int.  h k l
13.07  33.9  1 1 0
26.31  11.6  2 2 0
34.23  100.0  3 0 1
39.36  21.3  0 0 2
39.91  23.8  3 3 0
43.68  13.1  4 1 1
55.40  16.3  5 2 1
57.30  14.9  3 3 2


Record 2
Theoretical powder diffraction line list
Compound: PrTaClO4
Radiation: λ = 1.5418 Å (Cu Kα)
Structure: a cell relaxed with PBE
Lines closer than 0.1° are merged.

Structure:
```
data_PrTaClO4
_chemical_formula_sum 'Pr4 Ta4 Cl4 O16'
_space_group_name_H-M_alt 'C 1 2/m 1'
_space_group_IT_number 12
_space_group_name_Hall '-C 2y'
_cell_length_a 12.0533
_cell_length_b 7.0338
_cell_length_c 7.2781
_cell_angle_alpha 90.00
_cell_angle_beta 103.39
_cell_angle_gamma 90.00
loop_
_atom_site_label
_atom_site_type_symbol
_atom_site_fract_x
_atom_site_fract_y
_atom_site_fract_z
Pr1 Pr 0.2133 0.0000 0.3483
Ta1 Ta 0.1401 0.0000 0.7738
Cl1 Cl 0.0211 0.5000 0.3755
O1 O 0.0182 0.0000 0.2668
O2 O 0.1920 0.1994 0.6424
O3 O 0.2098 0.0000 0.0281
```

Top 8 peaks for 2θ from 10° to 80°, low angle first:
Position (°2θ)  Rel. int.  h k l
14.69  83.3  1 1 0
15.11  48.7  2 0 0
25.16  33.7  0 0 2
25.32  87.1  0 2 0
26.08  100.0  3 1 0
27.66  84.4  1 1 -2
31.29  37.6  3 1 1
32.53  38.4  3 1 -2


Record 3
Theoretical powder diffraction line list
Compound: TmMg11Ag
Radiation: λ = 1.5418 Å (Cu Kα)
Structure: a cell relaxed with PBE
Lines closer than 0.1° are merged.

Structure:
```
data_TmMg11Ag
_chemical_formula_sum 'Tm2 Mg22 Ag2'
_space_group_name_H-M_alt 'C 1 2/m 1'
_space_group_IT_number 12
_space_group_name_Hall '-C 2y'
_cell_length_a 5.7664
_cell_length_b 14.3533
_cell_length_c 7.6809
_cell_angle_alpha 90.00
_cell_angle_beta 110.98
_cell_angle_gamma 90.00
loop_
_atom_site_label
_atom_site_type_symbol
_atom_site_fract_x
_atom_site_fract_y
_atom_site_fract_z
Tm1 Tm 0.0000 0.0000 0.0000
Mg1 Mg 0.0000 0.0000 0.5000
Mg2 Mg 0.0993 0.3966 0.2132
Mg3 Mg 0.1811 0.1724 0.3544
Mg4 Mg 0.2500 0.2500 0.0000
Ag1 Ag 0.0000 0.5000 0.5000
```

Top 8 peaks for 2θ from 10° to 80°, low angle first:
Position (°2θ)  Rel. int.  h k l
12.33  100.0  0 2 0
17.79  80.0  1 1 -1
24.79  90.5  1 1 1
25.04  43.7  1 3 -1
30.47  55.7  1 3 1
35.40  76.2  0 4 2
35.58  93.7  2 2 0
36.04  47.7  2 2 -2


Record 4
Theoretical powder diffraction line list
Compound: PmGeSb2
Radiation: λ = 1.5418 Å (Cu Kα)
Structure: a cell relaxed with PBE
Lines closer than 0.1° are merged.

Structure:
```
data_PmGeSb2
_chemical_formula_sum 'Pm1 Ge1 Sb2'
_space_group_name_H-M_alt 'P 4/m m m'
_space_group_IT_number 123
_space_group_name_Hall '-P 4 2'
_cell_length_a 4.7225
_cell_length_b 4.7225
_cell_length_c 4.6017
_cell_angle_alpha 90.00
_cell_angle_beta 90.00
_cell_angle_gamma 90.00
loop_
_atom_site_label
_atom_site_type_symbol
_atom_site_fract_x
_atom_site_fract_y
_atom_site_fract_z
Pm1 Pm 0.0000 0.0000 0.0000
Ge1 Ge 0.5000 0.5000 0.0000
Sb1 Sb 0.0000 0.5000 0.5000
```

Top 8 peaks for 2θ from 10° to 80°, low angle first:
Position (°2θ)  Rel. int.  h k l
33.15  100.0  1 1 1
38.11  34.1  2 0 0
39.15  15.8  0 0 2
55.00  11.6  2 2 0
55.79  22.3  2 0 2
65.74  27.0  3 1 1
67.16  12.6  1 1 3
69.57  11.4  2 2 2


Record 5
Theoretical powder diffraction line list
Compound: Pa3Al2Ge3
Radiation: λ = 1.5418 Å (Cu Kα)
Structure: a cell relaxed with PBE
Lines closer than 0.1° are merged.

Structure:
```
data_Pa3Al2Ge3
_chemical_formula_sum 'Pa6 Al4 Ge6'
_space_group_name_H-M_alt 'I m m m'
_space_group_IT_number 71
_space_group_name_Hall '-I 2 2'
_cell_length_a 4.1383
_cell_length_b 4.1906
_cell_length_c 19.4189
_cell_angle_alpha 90.00
_cell_angle_beta 90.00
_cell_angle_gamma 90.00
loop_
_atom_site_label
_atom_site_type_symbol
_atom_site_fract_x
_atom_site_fract_y
_atom_site_fract_z
Pa1 Pa 0.0000 0.0000 0.0000
Pa2 Pa 0.0000 0.5000 0.1269
Al1 Al 0.0000 0.0000 0.2510
Ge1 Ge 0.0000 0.0000 0.5000
Ge2 Ge 0.0000 0.5000 0.3707
```

Top 8 peaks for 2θ from 10° to 80°, low angle first:
Position (°2θ)  Rel. int.  h k l
21.96  23.5  1 0 1
25.32  17.2  0 1 3
35.66  100.0  1 1 4
37.04  22.4  0 0 8
43.18  14.8  0 2 0
43.75  14.3  2 0 0
58.16  12.3  0 2 8
65.86  16.7  1 1 12


Record 6
Theoretical powder diffraction line list
Compound: Pm12TlPd5
Radiation: λ = 1.5418 Å (Cu Kα)
Structure: a cell relaxed with PBE
Lines closer than 0.1° are merged.

Structure:
```
data_Pm12TlPd5
_chemical_formula_sum 'Pm24 Tl2 Pd10'
_space_group_name_H-M_alt 'I m m m'
_space_group_IT_number 71
_space_group_name_Hall '-I 2 2'
_cell_length_a 9.7182
_cell_length_b 10.0303
_cell_length_c 10.5539
_cell_angle_alpha 90.00
_cell_angle_beta 90.00
_cell_angle_gamma 90.00
loop_
_atom_site_label
_atom_site_type_symbol
_atom_site_fract_x
_atom_site_fract_y
_atom_site_fract_z
Pm1 Pm 0.0000 0.1887 0.2236
Pm2 Pm 0.1988 0.5000 0.1745
Pm3 Pm 0.2120 0.3209 0.5000
Tl1 Tl 0.0000 0.0000 0.5000
Pd1 Pd 0.0000 0.0000 0.0000
Pd2 Pd 0.0000 0.3532 0.0000
Pd3 Pd 0.0000 0.5000 0.3686
```

Top 8 peaks for 2θ from 10° to 80°, low angle first:
Position (°2θ)  Rel. int.  h k l
28.97  26.3  3 1 0
30.72  100.0  2 2 2
32.67  79.0  2 1 3
33.03  88.9  1 3 2
33.63  42.2  2 3 1
34.01  51.9  0 0 4
37.00  34.4  4 0 0
57.57  40.4  5 3 2


> What is the formula in the third record?

TmMg11Ag